Starting from DFT lattice parameters and positions (GGA-PBE), the powder XRD pattern of SmU6 was computed for Cu Kα.
Neutral-atom scattering factors, no anomalous dispersion.

Peak list (6 most intense, 10° ≤ 2θ ≤ 80°, by angle)
d 5.041, 2θ 17.60, I = 47; d 3.564, 2θ 24.98, I = 42; d 2.910, 2θ 30.72, I = 100; d 2.058, 2θ 44.00, I = 52; d 1.905, 2θ 47.74, I = 60; d 1.782, 2θ 51.26, I = 39

```
data_SmU6
_cell_length_a 6.1733
_cell_length_b 6.1733
_cell_length_c 6.1733
_cell_angle_alpha 109.47
_cell_angle_beta 109.47
_cell_angle_gamma 109.47
_symmetry_space_group_name_H-M 'P 1'
_symmetry_Int_Tables_number 1
loop_
_symmetry_equiv_pos_as_xyz
'x,y,z'
loop_
_atom_site_label
_atom_site_type_symbol
_atom_site_fract_x
_atom_site_fract_y
_atom_site_fract_z
Sm1 Sm 0.0000 0.0000 0.0000
U1 U 0.2500 0.5000 0.7500
U2 U 0.2500 0.7500 0.5000
U3 U 0.5000 0.2500 0.7500
U4 U 0.5000 0.7500 0.2500
U5 U 0.7500 0.2500 0.5000
U6 U 0.7500 0.5000 0.2500
```